# 1
Theoretical powder XRD pattern of HoErTh2Sc4 for Cu Kα, from the PBE geometry in Alexandria.
Neutral-atom scattering factors, no anomalous dispersion.

Atomic structure:
```
HoErTh2Sc4
1.0
5.9511 -3.4332 0.0000
5.9511 3.4332 0.0000
-3.9745 0.0000 10.8957
Ho Er Th Sc
2 2 4 8
direct
0.0000 0.5000 0.0000
0.5000 0.0000 0.0000
0.0000 0.0000 0.0000
0.0000 0.0000 0.5000
0.0000 0.5000 0.5000
0.5000 0.0000 0.5000
0.5000 0.5000 0.0000
0.5000 0.5000 0.5000
0.2518 0.2518 0.2559
0.2545 0.2545 0.7496
0.2542 0.7413 0.7498
0.2587 0.7458 0.2502
0.7413 0.2542 0.7498
0.7458 0.2587 0.2502
0.7455 0.7455 0.2504
0.7482 0.7482 0.7441
```

The 6 most intense peaks (2θ from 5° to 70°), in order of rising 2θ:
Position (°2θ)	I_rel
16.3	63
30.5	43
32.0	100
32.9	31
37.4	66
64.1	27

=====

# 2
Theoretical powder XRD pattern of Ho3Er6ThSc2 for Cu Kα, from the PBE geometry in Alexandria.
Neutral-atom scattering factors, no anomalous dispersion.

Atomic structure:
```
Ho3Er6ThSc2
1.0
3.0042 -5.2028 0.0000
3.0042 5.2028 0.0000
-2.0032 0.0000 11.4103
Ho Er Th Sc
3 6 1 2
direct
0.0000 0.0000 0.0000
0.3324 0.6676 0.0000
0.6676 0.3324 0.0000
0.0843 0.4171 0.2537
0.2501 0.2501 0.7462
0.4171 0.0843 0.2537
0.5829 0.9157 0.7463
0.7499 0.7499 0.2538
0.9157 0.5829 0.7463
0.5000 0.5000 0.5000
0.1668 0.8332 0.5000
0.8332 0.1668 0.5000
```

The 6 most intense peaks (2θ from 5° to 70°), in order of rising 2θ:
Position (°2θ)	I_rel
31.4	34
31.6	100
36.5	67
52.5	24
52.8	24
62.7	28

=====

# 3
Theoretical powder XRD pattern of Ho2ErScTl2 for Cu Kα, from the PBE geometry in Alexandria.
Neutral-atom scattering factors, no anomalous dispersion.

Atomic structure:
```
Ho2ErScTl2
1.0
4.9367 0.0000 0.0000
0.0000 9.7256 0.0000
0.0000 0.0000 6.8161
Ho Er Sc Tl
4 2 2 4
direct
0.0000 0.0468 0.0000
0.0000 0.9532 0.5000
0.5000 0.1905 0.2867
0.5000 0.8095 0.7867
0.5000 0.4538 0.8992
0.5000 0.5462 0.3992
0.0000 0.3060 0.6124
0.0000 0.6940 0.1124
0.0000 0.3801 0.1689
0.0000 0.6199 0.6689
0.5000 0.1378 0.7413
0.5000 0.8622 0.2413
```

The 6 most intense peaks (2θ from 5° to 70°), in order of rising 2θ:
Position (°2θ)	I_rel
30.5	26
31.9	60
33.1	85
33.2	100
35.7	48
36.4	60

=====

# 4
Theoretical powder XRD pattern of HoErSc2Tl4 for Cu Kα, from the PBE geometry in Alexandria.
Neutral-atom scattering factors, no anomalous dispersion.

Atomic structure:
```
HoErSc2Tl4
1.0
2.6112 1.5076 8.5391
-2.6112 1.5076 8.5391
0.0000 -3.0152 8.5391
Ho Er Sc Tl
1 1 2 4
direct
0.0000 0.0000 0.0000
0.5000 0.5000 0.5000
0.2499 0.2499 0.2499
0.7501 0.7501 0.7501
0.1252 0.1252 0.1252
0.3752 0.3752 0.3752
0.6248 0.6248 0.6248
0.8748 0.8748 0.8748
```

The 6 most intense peaks (2θ from 5° to 70°), in order of rising 2θ:
Position (°2θ)	I_rel
20.8	9
24.1	12
34.3	100
49.3	18
55.6	5
61.5	38